No. 1
Na2Cu3Sb2: computed PXRD pattern (Cu Kα, 1.54184 Å), based on the PBE geometry in Alexandria.
Peak positions follow from Bragg's law for the DFT cell and can differ from measured ones.

Cell and atoms:
```
Na2Cu3Sb2
1.0
11.203 0.000 0.000
0.000 4.290 0.000
-3.340 0.000 5.979
Na Cu Sb
4 6 4
Direct
0.147 0.000 0.268
0.353 0.500 0.732
0.647 0.500 0.268
0.853 0.000 0.732
0.000 0.500 0.500
0.084 0.500 0.924
0.416 0.000 0.076
0.500 0.000 0.500
0.584 0.000 0.924
0.916 0.500 0.076
0.143 0.000 0.752
0.357 0.500 0.248
0.643 0.500 0.752
0.857 0.000 0.248
```

Most intense lines, 2θ = 10–80°, low angle first:
two_theta, I_rel
16.9, 100
24.6, 32
28.7, 25
33.9, 42
34.6, 59
35.9, 44
41.4, 42
42.1, 38
45.3, 20
46.3, 40
46.9, 17
61.9, 17



No. 2
NaCuSb: computed PXRD pattern (Cu Kα, 1.54184 Å), based on the PBE geometry in Alexandria.
Peak positions follow from Bragg's law for the DFT cell and can differ from measured ones.

Cell and atoms:
```
NaCuSb
1.0
4.537 0.000 0.000
0.000 7.477 0.000
0.000 0.000 7.836
Na Cu Sb
4 4 4
Direct
0.000 0.000 0.000
0.000 0.500 0.067
0.500 0.000 0.567
0.500 0.500 0.500
0.000 0.276 0.698
0.000 0.724 0.698
0.500 0.224 0.198
0.500 0.776 0.198
0.000 0.213 0.367
0.000 0.787 0.367
0.500 0.287 0.867
0.500 0.713 0.867
```

Most intense lines, 2θ = 10–80°, low angle first:
two_theta, I_rel
16.4, 12
22.7, 69
23.8, 64
33.1, 100
37.9, 18
39.8, 99
46.9, 64
47.7, 14
52.7, 24
64.6, 22
68.0, 13
77.4, 13



No. 3
NaCuSb: computed PXRD pattern (Cu Kα, 1.54184 Å), based on the PBE geometry in Alexandria.
Peak positions follow from Bragg's law for the DFT cell and can differ from measured ones.

Cell and atoms:
```
NaCuSb
1.0
12.099 0.000 0.000
0.000 4.264 0.000
-0.318 0.000 5.612
Na Cu Sb
4 4 4
Direct
0.119 0.000 0.360
0.381 0.500 0.640
0.619 0.500 0.360
0.881 0.000 0.640
0.215 0.000 0.909
0.285 0.500 0.091
0.715 0.500 0.909
0.785 0.000 0.091
0.096 0.500 0.826
0.404 0.000 0.174
0.596 0.000 0.826
0.904 0.500 0.174
```

Most intense lines, 2θ = 10–80°, low angle first:
two_theta, I_rel
15.8, 100
21.0, 93
22.1, 41
27.5, 37
33.9, 59
34.5, 61
35.2, 75
42.4, 39
43.0, 42
45.7, 34
54.5, 27
55.7, 29



No. 4
Na3CuSb2Se6: computed PXRD pattern (Cu Kα, 1.54184 Å), based on the PBE geometry in Alexandria.
Peak positions follow from Bragg's law for the DFT cell and can differ from measured ones.

Cell and atoms:
```
Na3CuSb2Se6
1.0
3.498 -5.902 0.000
3.498 5.902 0.000
-2.407 0.000 7.100
Na Cu Sb Se
3 1 2 6
Direct
0.000 0.000 0.000
0.322 0.678 0.000
0.678 0.322 0.000
0.500 0.500 0.500
0.163 0.837 0.500
0.837 0.163 0.500
0.123 0.430 0.289
0.248 0.248 0.739
0.430 0.123 0.289
0.570 0.877 0.711
0.752 0.752 0.261
0.877 0.570 0.711
```

Most intense lines, 2θ = 10–80°, low angle first:
two_theta, I_rel
12.5, 68
30.4, 57
31.1, 100
39.7, 15
42.9, 55
45.2, 37
46.1, 16
51.5, 9
55.5, 9
56.3, 18
64.8, 9
73.9, 8



No. 5
Na2CuSbSe4: computed PXRD pattern (Cu Kα, 1.54184 Å), based on the PBE geometry in Alexandria.
Peak positions follow from Bragg's law for the DFT cell and can differ from measured ones.

Cell and atoms:
```
Na2CuSbSe4
1.0
7.299 0.000 0.000
0.000 3.818 0.000
-2.885 0.000 7.121
Na Cu Sb Se
2 1 1 4
Direct
0.000 0.000 0.000
0.500 0.500 0.000
0.000 0.500 0.500
0.500 0.000 0.500
0.200 0.000 0.670
0.284 0.500 0.238
0.716 0.500 0.762
0.800 0.000 0.330
```

Most intense lines, 2θ = 10–80°, low angle first:
two_theta, I_rel
12.4, 76
24.5, 21
26.5, 12
28.8, 69
31.7, 100
40.4, 19
42.5, 34
43.3, 12
44.2, 39
46.8, 17
47.7, 24
56.6, 19



No. 6
NaScCuSe2: computed PXRD pattern (Cu Kα, 1.54184 Å), based on the PBE geometry in Alexandria.
Peak positions follow from Bragg's law for the DFT cell and can differ from measured ones.

Cell and atoms:
```
NaScCuSe2
1.0
6.989 0.000 0.000
0.000 4.521 0.000
-1.149 0.000 7.350
Na Sc Cu Se
2 2 2 4
Direct
0.000 0.146 0.250
0.000 0.854 0.750
0.500 0.495 0.750
0.500 0.505 0.250
0.500 0.000 0.000
0.500 0.000 0.500
0.241 0.333 0.965
0.241 0.667 0.465
0.759 0.333 0.535
0.759 0.667 0.035
```

Most intense lines, 2θ = 10–80°, low angle first:
two_theta, I_rel
12.8, 85
24.2, 59
25.6, 97
27.4, 100
32.7, 67
35.5, 59
38.5, 66
43.3, 29
43.5, 32
47.7, 30
48.1, 30
53.1, 32



No. 7
Na4Cu5Se6: computed PXRD pattern (Cu Kα, 1.54184 Å), based on the PBE geometry in Alexandria.
Peak positions follow from Bragg's law for the DFT cell and can differ from measured ones.

Cell and atoms:
```
Na4Cu5Se6
1.0
2.086 -9.214 0.000
2.086 9.214 0.000
0.000 0.000 15.485
Na Cu Se
8 10 12
Direct
0.002 0.998 0.500
0.020 0.980 0.764
0.178 0.822 0.307
0.179 0.821 0.945
0.821 0.179 0.445
0.822 0.178 0.807
0.980 0.020 0.264
0.998 0.002 0.000
0.138 0.862 0.629
0.293 0.707 0.629
0.356 0.644 0.254
0.356 0.644 0.990
0.427 0.573 0.676
0.573 0.427 0.176
0.644 0.356 0.490
0.644 0.356 0.754
0.707 0.293 0.129
0.862 0.138 0.129
0.127 0.873 0.124
0.214 0.786 0.499
0.215 0.785 0.760
0.431 0.569 0.386
0.432 0.568 0.857
0.443 0.557 0.127
0.557 0.443 0.627
0.568 0.432 0.357
0.569 0.431 0.886
0.785 0.215 0.260
0.786 0.214 0.999
0.873 0.127 0.624
```

Most intense lines, 2θ = 10–80°, low angle first:
two_theta, I_rel
11.4, 39
21.8, 28
24.9, 33
25.9, 26
26.5, 32
34.5, 25
34.8, 34
36.9, 35
40.1, 23
43.4, 58
47.1, 100
48.9, 34



No. 8
NaCu3Se3: computed PXRD pattern (Cu Kα, 1.54184 Å), based on the PBE geometry in Alexandria.
Peak positions follow from Bragg's law for the DFT cell and can differ from measured ones.

Cell and atoms:
```
NaCu3Se3
1.0
3.379 1.951 7.437
-3.379 1.951 7.437
0.000 -3.902 7.437
Na Cu Se
2 6 6
Direct
0.167 0.167 0.167
0.833 0.833 0.833
0.032 0.368 0.703
0.297 0.968 0.632
0.368 0.703 0.032
0.632 0.297 0.968
0.703 0.032 0.368
0.968 0.632 0.297
0.079 0.741 0.410
0.259 0.590 0.921
0.410 0.079 0.741
0.590 0.921 0.259
0.741 0.410 0.079
0.921 0.259 0.590
```

Most intense lines, 2θ = 10–80°, low angle first:
two_theta, I_rel
11.9, 100
23.9, 16
26.4, 65
29.0, 62
35.9, 40
45.4, 97
46.5, 75
48.2, 18
53.0, 11
56.5, 14
60.4, 11
67.0, 29



No. 9
NaCu6Se4: computed PXRD pattern (Cu Kα, 1.54184 Å), based on the PBE geometry in Alexandria.
Peak positions follow from Bragg's law for the DFT cell and can differ from measured ones.

Cell and atoms:
```
NaCu6Se4
1.0
-3.225 3.225 4.633
3.225 -3.225 4.633
3.225 3.225 -4.633
Na Cu Se
1 6 4
Direct
0.000 0.000 0.000
0.000 0.500 0.500
0.235 0.524 0.000
0.476 0.476 0.711
0.500 0.000 0.500
0.524 0.235 0.000
0.765 0.765 0.289
0.126 0.126 0.539
0.413 0.874 0.000
0.587 0.587 0.461
0.874 0.413 0.000
```

Most intense lines, 2θ = 10–80°, low angle first:
two_theta, I_rel
16.7, 81
27.4, 48
27.7, 36
32.1, 31
33.9, 50
39.5, 69
43.2, 36
43.8, 34
44.4, 34
48.4, 84
48.8, 100
78.4, 35



No. 10
Na3CuSe3: computed PXRD pattern (Cu Kα, 1.54184 Å), based on the PBE geometry in Alexandria.
Peak positions follow from Bragg's law for the DFT cell and can differ from measured ones.

Cell and atoms:
```
Na3CuSe3
1.0
4.139 -6.648 0.000
4.139 6.648 0.000
-2.918 0.000 6.395
Na Cu Se
6 2 6
Direct
0.148 0.852 0.000
0.205 0.795 0.500
0.384 0.384 0.192
0.616 0.616 0.808
0.795 0.205 0.500
0.852 0.148 0.000
0.205 0.205 0.703
0.795 0.795 0.297
0.106 0.106 0.322
0.229 0.539 0.810
0.461 0.771 0.190
0.539 0.229 0.810
0.771 0.461 0.190
0.894 0.894 0.678
```

Most intense lines, 2θ = 10–80°, low angle first:
two_theta, I_rel
13.3, 40
15.5, 100
21.9, 52
23.3, 54
27.9, 33
38.4, 45
39.4, 31
40.4, 42
40.7, 43
41.3, 26
44.6, 21
48.7, 23



No. 11
Na2CuSe2: computed PXRD pattern (Cu Kα, 1.54184 Å), based on the PBE geometry in Alexandria.
Peak positions follow from Bragg's law for the DFT cell and can differ from measured ones.

Cell and atoms:
```
Na2CuSe2
1.0
3.673 0.000 0.000
0.000 5.545 0.000
0.000 0.000 12.897
Na Cu Se
4 2 4
Direct
0.000 0.000 0.187
0.000 0.000 0.813
0.500 0.500 0.313
0.500 0.500 0.687
0.000 0.000 0.500
0.500 0.500 0.000
0.000 0.500 0.127
0.000 0.500 0.873
0.500 0.000 0.373
0.500 0.000 0.627
```

Most intense lines, 2θ = 10–80°, low angle first:
two_theta, I_rel
17.4, 100
32.1, 45
32.3, 34
40.6, 45
46.1, 32
49.6, 9
52.3, 9
53.0, 10
60.5, 10
63.3, 12
67.5, 7
76.8, 6



No. 12
Na2Cu5Se4: computed PXRD pattern (Cu Kα, 1.54184 Å), based on the PBE geometry in Alexandria.
Peak positions follow from Bragg's law for the DFT cell and can differ from measured ones.

Cell and atoms:
```
Na2Cu5Se4
1.0
0.000 6.327 6.812
2.565 0.000 6.812
2.565 6.327 0.000
Na Cu Se
2 5 4
Direct
0.159 0.159 0.841
0.841 0.841 0.159
0.000 0.000 0.500
0.250 0.250 0.250
0.500 0.500 0.000
0.500 0.500 0.500
0.750 0.750 0.750
0.230 0.516 0.484
0.484 0.770 0.230
0.516 0.230 0.770
0.770 0.484 0.516
```

Most intense lines, 2θ = 10–80°, low angle first:
two_theta, I_rel
14.0, 86
19.8, 100
28.2, 35
33.9, 83
37.8, 30
38.9, 95
43.3, 23
44.2, 56
45.5, 33
46.6, 45
53.8, 23
56.5, 29